# TaTlPN2
Theoretical PXRD pattern, Cu Kα (weighted mean of Kα1 and Kα2). Input: a structure optimized by DFT (GGA-PBE).

Crystal structure
a = 4.0894 Å, b = 4.0894 Å, c = 5.0875 Å
α = 90.00°, β = 90.00°, γ = 90.00°
Positions (direct):
1 Ta 0.0000 0.0000 0.0000
2 Tl 0.5000 0.5000 0.5000
3 P 0.5000 0.5000 0.0000
4 N 0.0000 0.5000 0.5000
5 N 0.5000 0.0000 0.5000

Main lines, sorted by position (2θ = 5–70°):
d = 3.187 Å, rel. 100, hkl 1 0 1; d = 2.892 Å, rel. 47, hkl 1 1 0; d = 2.544 Å, rel. 22, hkl 0 0 2; d = 2.045 Å, rel. 23, hkl 2 0 0; d = 1.910 Å, rel. 29, hkl 1 1 2; d = 1.721 Å, rel. 35, hkl 2 1 1